1.
Starting from a crystal structure in Alexandria, relaxed with GGA-PBE, the X-ray powder pattern of AlOF3 was calculated for copper Kα.

Top 10 peaks for 10° ≤ 2θ ≤ 80°, sorted by position:
| d/Å | I_rel |
| --- | --- |
| 7.386 | 40 |
| 4.265 | 100 |
| 2.622 | 3 |
| 2.554 | 4 |
| 2.465 | 7 |
| 2.375 | 4 |
| 2.272 | 4 |
| 1.901 | 3 |
| 1.612 | 4 |
| 1.232 | 3 |

Cell and atoms:
```
AlOF3
1.0
4.3237 -7.3914 0.0000
4.3237 7.3914 0.0000
-0.8448 0.0000 4.9306
Al O F
4 4 12
Cartesian
4.1125 4.9104 1.2327
3.6900 4.9017 3.6980
4.1125 -4.9017 1.2327
3.6900 -4.9104 3.6980
3.2943 -0.0001 2.3616
2.8719 0.0001 4.8269
4.9306 -0.0001 0.1037
4.5082 0.0001 2.5691
2.5587 4.9366 2.2365
2.7801 6.0689 4.8089
2.8352 3.7077 4.8233
4.6000 6.0689 2.5870
4.5448 3.7077 2.5727
5.6663 4.9366 0.2288
2.1362 -4.9366 4.7018
3.2577 -3.7077 2.3580
3.2025 -6.0689 2.3436
4.9673 -3.7077 0.1073
5.0224 -6.0689 0.1217
5.2438 -4.9366 2.6941
```

---

2.
Starting from a crystal structure in Alexandria, relaxed with GGA-PBE, the X-ray powder pattern of Rb2AlOF5 was calculated for copper Kα.

Top 10 peaks for 10° ≤ 2θ ≤ 80°, sorted by position:
| d/Å | I_rel |
| --- | --- |
| 6.368 | 29 |
| 4.886 | 19 |
| 4.197 | 20 |
| 3.184 | 36 |
| 3.003 | 40 |
| 2.820 | 55 |
| 2.443 | 100 |
| 2.099 | 15 |
| 1.903 | 19 |
| 1.847 | 17 |

Cell and atoms:
```
Rb2AlOF5
1.0
4.8867 -4.1974 0.0000
4.8867 4.1974 0.0000
0.0000 0.0000 7.6135
Rb Al O F
4 2 2 10
Cartesian
2.6914 2.2956 5.7102
7.0821 2.2956 5.7102
2.6914 -2.2956 1.9034
7.0821 -2.2956 1.9034
4.8867 0.0000 0.0000
4.8867 0.0000 3.8068
4.8867 3.3516 1.9034
4.8867 -3.3516 5.7102
4.8867 1.8216 0.0272
4.8867 1.8216 3.7795
3.0812 0.0000 0.0000
3.0812 0.0000 3.8068
4.8867 0.0563 5.7102
4.8867 -0.0563 1.9034
6.6922 0.0000 0.0000
6.6922 0.0000 3.8068
4.8867 -1.8216 3.8340
4.8867 -1.8216 7.5863
```

---

3.
Starting from a crystal structure in Alexandria, relaxed with GGA-PBE, the X-ray powder pattern of Al2SiO4F2 was calculated for copper Kα.

Top 10 peaks for 10° ≤ 2θ ≤ 80°, sorted by position:
| d/Å | I_rel |
| --- | --- |
| 3.736 | 74 |
| 3.231 | 87 |
| 3.070 | 39 |
| 2.972 | 100 |
| 2.388 | 49 |
| 2.130 | 56 |
| 2.080 | 30 |
| 1.691 | 36 |
| 1.434 | 41 |
| 1.373 | 40 |

Cell and atoms:
```
Al2SiO4F2
1.0
8.8868 0.0000 0.0000
0.0000 8.4956 0.0000
0.0000 0.0000 4.7073
Al Si O F
8 4 16 8
Cartesian
1.1596 0.7074 0.4573
1.1596 3.5404 0.4573
3.2838 4.9552 2.8110
3.2838 7.7882 2.8110
5.6030 0.7074 1.8964
5.6030 3.5404 1.8964
7.7271 4.9552 4.2500
7.7271 7.7882 4.2500
0.5338 6.3717 1.8657
3.9096 2.1239 4.2194
4.9771 6.3717 0.4879
8.3530 2.1239 2.8416
0.1020 5.0367 0.9810
0.1020 7.7068 0.9810
0.2906 2.1239 1.4062
2.1688 6.3717 2.1651
2.2746 2.1239 4.5188
4.1528 6.3717 3.7599
4.3414 0.7889 3.3347
4.3414 3.4589 3.3347
4.5454 5.0367 1.3727
4.5454 7.7068 1.3727
4.7340 2.1239 0.9474
6.6122 6.3717 0.1886
6.7179 2.1239 2.5422
8.5961 6.3717 3.3011
8.7848 0.7889 3.7263
8.7848 3.4589 3.7263
2.2002 4.7207 4.2428
2.2002 8.0228 4.2428
2.2431 0.4729 1.8891
2.2431 3.7749 1.8891
6.6436 4.7207 2.8182
6.6436 8.0228 2.8182
6.6865 0.4729 0.4646
6.6865 3.7749 0.4646
```